Diffraction record for La3Pm2DyP6. The X-ray diffraction stick pattern is theoretical, not measured: it uses a PBE-relaxed structure and Cu Kα (λ = 1.5418 Å).
No peak broadening, texture or thermal motion is included.

```
data_La3Pm2DyP6
_space_group_name_H-M_alt 'C 1 2/m 1'
_space_group_IT_number 12
_space_group_name_Hall '-C 2y'
_cell_length_a 7.246
_cell_length_b 12.549
_cell_length_c 7.249
_cell_angle_alpha 90.00
_cell_angle_beta 109.45
_cell_angle_gamma 90.00
loop_
_atom_site_label
_atom_site_type_symbol
_atom_site_fract_x
_atom_site_fract_y
_atom_site_fract_z
_atom_site_occupancy
La1 La 0.000 0.000 0.000 1
La2 La 0.000 0.333 0.000 1
Pm1 Pm 0.000 0.166 0.500 1
Dy1 Dy 0.000 0.500 0.500 1
P1 P 0.245 0.335 0.741 1
P2 P 0.249 0.500 0.258 1
```

Main lines, by intensity (5 to 70 degrees two-theta):
30.2 deg, rel. 100
26.1 deg, rel. 79
43.2 deg, rel. 74
51.2 deg, rel. 36
53.7 deg, rel. 26
69.2 deg, rel. 16
62.8 deg, rel. 12
51.2 deg, rel. 3

***

Diffraction record for LaDyPa. The X-ray diffraction stick pattern is theoretical, not measured: it uses a PBE-relaxed structure and Cu Kα (λ = 1.5418 Å).
No peak broadening, texture or thermal motion is included.

```
data_LaDyPa
_space_group_name_H-M_alt 'I m m m'
_space_group_IT_number 71
_space_group_name_Hall '-I 2 2'
_cell_length_a 5.622
_cell_length_b 6.756
_cell_length_c 9.783
_cell_angle_alpha 90.00
_cell_angle_beta 90.00
_cell_angle_gamma 90.00
loop_
_atom_site_label
_atom_site_type_symbol
_atom_site_fract_x
_atom_site_fract_y
_atom_site_fract_z
_atom_site_occupancy
La1 La 0.000 0.000 0.162 1
Dy1 Dy 0.000 0.500 0.167 1
Pa1 Pa 0.000 0.197 0.500 1
```

Main lines, by intensity (5 to 70 degrees two-theta):
32.2 deg, rel. 100
31.7 deg, rel. 89
31.8 deg, rel. 44
56.8 deg, rel. 27
45.9 deg, rel. 24
56.6 deg, rel. 17
64.3 deg, rel. 16
45.8 deg, rel. 14

***

Diffraction record for LaDy2Pb2. The X-ray diffraction stick pattern is theoretical, not measured: it uses a PBE-relaxed structure and Cu Kα (λ = 1.5418 Å).
No peak broadening, texture or thermal motion is included.

```
data_LaDy2Pb2
_space_group_name_H-M_alt 'P -1'
_space_group_IT_number 2
_space_group_name_Hall '-P 1'
_cell_length_a 6.486
_cell_length_b 6.486
_cell_length_c 7.989
_cell_angle_alpha 77.35
_cell_angle_beta 77.33
_cell_angle_gamma 80.39
loop_
_atom_site_label
_atom_site_type_symbol
_atom_site_fract_x
_atom_site_fract_y
_atom_site_fract_z
_atom_site_occupancy
La1 La 0.123 0.377 0.250 1
Dy1 Dy 0.291 0.903 0.962 1
Dy2 Dy 0.403 0.791 0.462 1
Pb1 Pb 0.060 0.131 0.660 1
Pb2 Pb 0.369 0.440 0.840 1
```

Main lines, by intensity (5 to 70 degrees two-theta):
35.4 deg, rel. 100
29.3 deg, rel. 73
33.3 deg, rel. 72
28.6 deg, rel. 71
29.6 deg, rel. 66
36.4 deg, rel. 63
31.7 deg, rel. 37
19.9 deg, rel. 31

***

Diffraction record for La3Dy2Pb4. The X-ray diffraction stick pattern is theoretical, not measured: it uses a PBE-relaxed structure and Cu Kα (λ = 1.5418 Å).
No peak broadening, texture or thermal motion is included.

```
data_La3Dy2Pb4
_space_group_name_H-M_alt 'C 1 2/m 1'
_space_group_IT_number 12
_space_group_name_Hall '-C 2y'
_cell_length_a 13.987
_cell_length_b 4.740
_cell_length_c 10.229
_cell_angle_alpha 90.00
_cell_angle_beta 117.36
_cell_angle_gamma 90.00
loop_
_atom_site_label
_atom_site_type_symbol
_atom_site_fract_x
_atom_site_fract_y
_atom_site_fract_z
_atom_site_occupancy
La1 La 0.000 0.000 0.000 1
La2 La 0.125 0.500 0.698 1
Dy1 Dy 0.181 0.500 0.350 1
Pb1 Pb 0.068 0.000 0.408 1
Pb2 Pb 0.198 0.500 0.060 1
```

Main lines, by intensity (5 to 70 degrees two-theta):
28.6 deg, rel. 100
33.4 deg, rel. 87
38.0 deg, rel. 47
26.8 deg, rel. 41
39.9 deg, rel. 31
29.5 deg, rel. 31
30.4 deg, rel. 29
56.3 deg, rel. 23

***

Diffraction record for La5DyPb4. The X-ray diffraction stick pattern is theoretical, not measured: it uses a PBE-relaxed structure and Cu Kα (λ = 1.5418 Å).
No peak broadening, texture or thermal motion is included.

```
data_La5DyPb4
_space_group_name_H-M_alt 'C 1 2/m 1'
_space_group_IT_number 12
_space_group_name_Hall '-C 2y'
_cell_length_a 17.177
_cell_length_b 5.591
_cell_length_c 7.422
_cell_angle_alpha 90.00
_cell_angle_beta 91.00
_cell_angle_gamma 90.00
loop_
_atom_site_label
_atom_site_type_symbol
_atom_site_fract_x
_atom_site_fract_y
_atom_site_fract_z
_atom_site_occupancy
La1 La 0.000 0.000 0.000 1
La2 La 0.166 0.500 0.999 1
La3 La 0.167 0.500 0.508 1
Dy1 Dy 0.000 0.000 0.500 1
Pb1 Pb 0.008 0.500 0.260 1
Pb2 Pb 0.172 0.000 0.748 1
```

Main lines, by intensity (5 to 70 degrees two-theta):
32.7 deg, rel. 100
33.1 deg, rel. 95
31.2 deg, rel. 54
32.0 deg, rel. 52
45.3 deg, rel. 39
59.8 deg, rel. 26
56.3 deg, rel. 20
57.5 deg, rel. 20

***

Diffraction record for LaDy5Pb6. The X-ray diffraction stick pattern is theoretical, not measured: it uses a PBE-relaxed structure and Cu Kα (λ = 1.5418 Å).
No peak broadening, texture or thermal motion is included.

```
data_LaDy5Pb6
_space_group_name_H-M_alt 'I m m m'
_space_group_IT_number 71
_space_group_name_Hall '-I 2 2'
_cell_length_a 5.068
_cell_length_b 8.955
_cell_length_c 15.200
_cell_angle_alpha 90.00
_cell_angle_beta 90.00
_cell_angle_gamma 90.00
loop_
_atom_site_label
_atom_site_type_symbol
_atom_site_fract_x
_atom_site_fract_y
_atom_site_fract_z
_atom_site_occupancy
La1 La 0.000 0.000 0.000 1
Dy1 Dy 0.000 0.000 0.332 1
Dy2 Dy 0.000 0.500 0.000 1
Dy3 Dy 0.000 0.500 0.332 1
Pb1 Pb 0.000 0.244 0.500 1
Pb2 Pb 0.000 0.253 0.169 1
```

Main lines, by intensity (5 to 70 degrees two-theta):
32.0 deg, rel. 100
35.4 deg, rel. 38
61.5 deg, rel. 32
54.7 deg, rel. 22
51.0 deg, rel. 14
40.3 deg, rel. 13
66.9 deg, rel. 12
68.0 deg, rel. 12

***

Question: Number 2 is which compound?
Answer: LaDyPa